Computed XRD peak list
Compound: Tb4Y5Ho3
Radiation: copper Kα
Structure: a structure optimized by DFT (PBE)

Structural model:
abc: 6.1586 7.1151 8.7007
angles: 90.01 90.08 90.10
Space group P-1 (No. 2)
Symmetry-distinct sites (fractional):
Tb 0.1664 0.2504 0.1673
Tb 0.3332 0.5000 0.8350
Y 0.0000 0.5000 0.5000
Y 0.3314 0.0000 0.8337
Y 0.5004 0.2496 0.4999
Ho 0.0000 0.0000 0.5000
Ho 0.1668 0.7498 0.1673

Principal peaks in the range 15 to 90 degrees two-theta, sorted by position:
2theta  Rel. int.
30.80  100
35.72  51
51.39  30
61.11  28
61.19  14
64.12  6
83.91  9
86.60  7